# 1
Theoretical powder X-ray diffraction pattern of TlCdS2 for Cu Kα (weighted mean of Kα1 and Kα2), from a cell relaxed with GGA-PBE.
No peak broadening, texture or thermal motion is included.

Structural model:
```
12
Lattice="3.921 0.000 0.000 -1.960 3.396 0.000 0.000 0.000 20.858" Properties=species:S:1:pos:R:3 pbc="T T T"
Tl 0.000 0.000 0.000
Tl 0.000 2.264 13.906
Tl 1.960 1.132 6.953
Cd 0.000 0.000 3.523
Cd 0.000 2.264 17.428
Cd 1.960 1.132 10.476
S 0.000 0.000 11.976
S 0.000 0.000 15.867
S 0.000 2.264 5.024
S 0.000 2.264 8.914
S 1.960 1.132 1.961
S 1.960 1.132 18.929
```

The 8 most intense peaks (10° ≤ 2θ ≤ 90°), sorted by position:
d_spacing, Rel. int., h k l
3.476, 38.6, 0 0 6
3.351, 91.5, 1 0 1
3.229, 46.8, 0 1 2
2.845, 36.2, 1 0 4
2.633, 100.0, 0 1 5
2.240, 50.4, 1 0 7
1.960, 54.1, 1 1 0
1.708, 32.4, 1 1 6

=====

# 2
Theoretical powder X-ray diffraction pattern of Tl2CdS8 for Cu Kα (weighted mean of Kα1 and Kα2), from a cell relaxed with GGA-PBE.
No peak broadening, texture or thermal motion is included.

Structural model:
```
11
Lattice="4.843 0.000 0.000 0.030 8.285 0.000 1.054 4.030 7.328" Properties=species:S:1:pos:R:3 pbc="T T T"
Tl 1.570 4.067 2.773
Tl 4.357 8.248 4.555
Cd 0.000 0.000 0.000
S 2.007 8.079 7.037
S 2.495 10.728 5.654
S 2.492 5.739 5.632
S 2.221 8.243 1.977
S 3.706 4.071 5.351
S 3.436 6.576 1.696
S 3.433 1.587 1.674
S 3.920 4.236 0.291
```

The 8 most intense peaks (10° ≤ 2θ ≤ 90°), sorted by position:
d_spacing, Rel. int., h k l
4.237, 18.6, 0 1 -1
4.180, 19.5, 0 1 2
4.134, 100.0, 0 2 1
3.131, 47.1, 1 0 2
2.808, 17.0, 1 2 0
2.775, 26.5, -1 2 2
2.388, 19.2, 0 3 3
2.063, 18.4, 2 -2 0

=====

# 3
Theoretical powder X-ray diffraction pattern of Tl6CdS4 for Cu Kα (weighted mean of Kα1 and Kα2), from a cell relaxed with GGA-PBE.
No peak broadening, texture or thermal motion is included.

Structural model:
```
22
Lattice="10.441 0.000 0.000 -5.220 9.042 0.000 0.000 0.000 7.118" Properties=species:S:1:pos:R:3 pbc="T T T"
Tl -2.081 4.826 0.000
Tl 0.000 2.783 2.368
Tl -2.810 7.650 2.368
Tl 2.410 1.392 5.927
Tl 2.081 4.826 0.000
Tl 0.000 8.431 0.000
Tl 5.220 0.611 3.559
Tl 3.139 4.215 3.559
Tl 2.810 7.650 2.368
Tl 8.030 1.392 5.927
Tl 5.220 6.258 5.927
Tl 7.301 4.215 3.559
Cd 0.000 6.028 4.451
Cd 5.220 3.014 0.892
S 0.000 3.548 5.274
S -2.147 7.268 5.274
S 0.000 6.028 1.840
S 3.073 1.774 1.714
S 2.147 7.268 5.274
S 5.220 3.014 5.399
S 7.368 1.774 1.714
S 5.220 5.494 1.714
```

The 8 most intense peaks (10° ≤ 2θ ≤ 90°), sorted by position:
d_spacing, Rel. int., h k l
3.816, 69.8, 2 0 1
3.312, 26.4, 1 0 2
3.081, 100.0, 2 1 1
2.797, 84.8, 2 0 2
2.775, 26.0, 3 0 1
2.610, 77.1, 2 2 0
2.103, 24.5, 2 0 3
1.753, 26.6, 5 0 1

=====

Copy entry 3 word for word.
Theoretical powder X-ray diffraction pattern of Tl6CdS4 for Cu Kα (weighted mean of Kα1 and Kα2), from a cell relaxed with GGA-PBE.
No peak broadening, texture or thermal motion is included.

Structural model:
```
22
Lattice="10.441 0.000 0.000 -5.220 9.042 0.000 0.000 0.000 7.118" Properties=species:S:1:pos:R:3 pbc="T T T"
Tl -2.081 4.826 0.000
Tl 0.000 2.783 2.368
Tl -2.810 7.650 2.368
Tl 2.410 1.392 5.927
Tl 2.081 4.826 0.000
Tl 0.000 8.431 0.000
Tl 5.220 0.611 3.559
Tl 3.139 4.215 3.559
Tl 2.810 7.650 2.368
Tl 8.030 1.392 5.927
Tl 5.220 6.258 5.927
Tl 7.301 4.215 3.559
Cd 0.000 6.028 4.451
Cd 5.220 3.014 0.892
S 0.000 3.548 5.274
S -2.147 7.268 5.274
S 0.000 6.028 1.840
S 3.073 1.774 1.714
S 2.147 7.268 5.274
S 5.220 3.014 5.399
S 7.368 1.774 1.714
S 5.220 5.494 1.714
```

The 8 most intense peaks (10° ≤ 2θ ≤ 90°), sorted by position:
d_spacing, Rel. int., h k l
3.816, 69.8, 2 0 1
3.312, 26.4, 1 0 2
3.081, 100.0, 2 1 1
2.797, 84.8, 2 0 2
2.775, 26.0, 3 0 1
2.610, 77.1, 2 2 0
2.103, 24.5, 2 0 3
1.753, 26.6, 5 0 1